The following is a theoretical X-ray diffraction stick pattern of K2Li14Zr3O14. It was derived from a crystal structure in OQMD, relaxed with PBE, using CuKα.
Kinematic intensities with the Lorentz-polarization factor, no thermal factor.

Atomic structure:
Unit cell a=8.188 b=8.188 c=8.188 alpha=127.21 beta=123.40 gamma=81.07
Sites, in units of the cell vectors:
K 0.000 0.235 0.235
K 0.000 0.765 0.765
Li 0.088 0.230 0.858
Li 0.205 0.136 0.611
Li 0.205 0.594 0.068
Li 0.347 0.500 0.847
Li 0.372 0.230 0.142
Li 0.474 0.406 0.611
Li 0.474 0.864 0.068
Li 0.526 0.136 0.932
Li 0.526 0.594 0.389
Li 0.628 0.770 0.858
Li 0.653 0.500 0.153
Li 0.795 0.406 0.932
Li 0.795 0.864 0.389
Li 0.912 0.770 0.142
Zr 0.227 0.727 0.500
Zr 0.500 0.000 0.500
Zr 0.773 0.273 0.500
O 0.082 0.372 0.710
O 0.190 0.873 0.317
O 0.244 0.031 0.787
O 0.244 0.458 0.213
O 0.338 0.628 0.710
O 0.444 0.127 0.317
O 0.500 0.289 0.789
O 0.500 0.711 0.211
O 0.556 0.873 0.683
O 0.662 0.372 0.290
O 0.756 0.542 0.787
O 0.756 0.969 0.213
O 0.810 0.127 0.683
O 0.918 0.628 0.290

The 6 most intense peaks (2θ from 5° to 70°), by angle:
- 16.69 deg, intensity 100
- 22.91 deg, intensity 36
- 34.76 deg, intensity 24
- 37.03 deg, intensity 52
- 38.88 deg, intensity 25
- 47.37 deg, intensity 20

The following is a theoretical X-ray diffraction stick pattern of CdH8Pb2C4Br2O4. It was derived from a crystal structure in OQMD, relaxed with PBE, using CuKα.
Kinematic intensities with the Lorentz-polarization factor, no thermal factor.

Atomic structure:
Unit cell a=7.380 b=8.147 c=10.812 alpha=84.79 beta=89.32 gamma=64.70
Sites, in units of the cell vectors:
Cd 0.179 0.047 0.244
Cd 0.821 0.953 0.756
H 0.115 0.337 0.487
H 0.118 0.573 0.598
H 0.150 0.548 0.364
H 0.214 0.637 0.921
H 0.284 0.660 0.426
H 0.437 0.630 0.850
H 0.440 0.651 0.081
H 0.472 0.830 0.991
H 0.528 0.170 0.009
H 0.560 0.349 0.919
H 0.563 0.370 0.150
H 0.716 0.340 0.574
H 0.786 0.363 0.079
H 0.850 0.452 0.636
H 0.882 0.427 0.402
H 0.885 0.663 0.513
Pb 0.084 0.166 0.890
Pb 0.249 0.927 0.600
Pb 0.751 0.073 0.400
Pb 0.916 0.834 0.110
C 0.021 0.682 0.528
C 0.131 0.672 0.407
C 0.300 0.718 0.897
C 0.364 0.772 0.014
C 0.636 0.228 0.986
C 0.700 0.282 0.103
C 0.869 0.328 0.593
C 0.979 0.318 0.472
Br 0.176 0.363 0.153
Br 0.446 0.190 0.677
Br 0.554 0.810 0.323
Br 0.824 0.637 0.847
O 0.027 0.830 0.322
O 0.035 0.142 0.429
O 0.181 0.875 0.816
O 0.191 0.905 0.067
O 0.809 0.095 0.933
O 0.819 0.125 0.184
O 0.965 0.858 0.571
O 0.973 0.170 0.678

The 6 most intense peaks (2θ from 5° to 70°), by angle:
- 12.07 deg, intensity 100
- 13.28 deg, intensity 31
- 27.73 deg, intensity 28
- 27.89 deg, intensity 28
- 28.15 deg, intensity 24
- 34.52 deg, intensity 18

The following is a theoretical X-ray diffraction stick pattern of CsErNb6Br18. It was derived from a crystal structure in OQMD, relaxed with PBE, using CuKα.
Kinematic intensities with the Lorentz-polarization factor, no thermal factor.

Atomic structure:
Unit cell a=9.772 b=9.772 c=18.270 alpha=90.00 beta=90.00 gamma=120.00
Sites, in units of the cell vectors:
Cs 0.333 0.667 0.250
Cs 0.667 0.333 0.750
Er 0.333 0.667 0.750
Er 0.667 0.333 0.250
Nb 0.038 0.190 0.934
Nb 0.038 0.847 0.566
Nb 0.153 0.190 0.566
Nb 0.153 0.962 0.934
Nb 0.190 0.038 0.434
Nb 0.190 0.153 0.066
Nb 0.810 0.847 0.934
Nb 0.810 0.962 0.566
Nb 0.847 0.038 0.066
Nb 0.847 0.810 0.434
Nb 0.962 0.153 0.434
Nb 0.962 0.810 0.066
Br 0.045 0.234 0.161
Br 0.045 0.811 0.339
Br 0.083 0.451 0.838
Br 0.083 0.631 0.662
Br 0.144 0.422 0.499
Br 0.144 0.722 0.001
Br 0.189 0.234 0.339
Br 0.189 0.955 0.161
Br 0.234 0.045 0.661
Br 0.234 0.189 0.839
Br 0.278 0.422 0.001
Br 0.278 0.856 0.499
Br 0.369 0.451 0.662
Br 0.369 0.917 0.838
Br 0.422 0.144 0.999
Br 0.422 0.278 0.501
Br 0.451 0.083 0.338
Br 0.451 0.369 0.162
Br 0.549 0.631 0.838
Br 0.549 0.917 0.662
Br 0.578 0.722 0.499
Br 0.578 0.856 0.001
Br 0.631 0.083 0.162
Br 0.631 0.549 0.338
Br 0.722 0.144 0.501
Br 0.722 0.578 0.999
Br 0.766 0.811 0.161
Br 0.766 0.955 0.339
Br 0.811 0.045 0.839
Br 0.811 0.766 0.661
Br 0.856 0.278 0.999
Br 0.856 0.578 0.501
Br 0.917 0.369 0.338
Br 0.917 0.549 0.162
Br 0.955 0.189 0.661
Br 0.955 0.766 0.839

The 6 most intense peaks (2θ from 5° to 70°), by angle:
- 10.45 deg, intensity 54
- 14.27 deg, intensity 60
- 29.59 deg, intensity 41
- 31.59 deg, intensity 75
- 34.22 deg, intensity 100
- 40.92 deg, intensity 43